No. 1
For TbTmAg2Te4, a cell relaxed with GGA-PBE gives the computed PXRD pattern in this record (copper Kα).
Kinematic intensities with the Lorentz-polarization factor, no thermal factor.

Cell and atoms:
```
data_TbTmAg2Te4
_symmetry_space_group_name_H-M 'P 1'
_symmetry_Int_Tables_number 1
_cell_length_a 7.445
_cell_length_b 4.394
_cell_length_c 7.606
_cell_angle_alpha 90.00
_cell_angle_beta 109.75
_cell_angle_gamma 90.00
loop_
_symmetry_equiv_pos_as_xyz
'x,y,z'
loop_
_atom_site_label
_atom_site_fract_x
_atom_site_fract_y
_atom_site_fract_z
Tb1 0.000 0.000 0.000
Tm1 0.000 0.500 0.500
Ag1 0.500 0.000 0.500
Ag2 0.500 0.500 0.000
Te1 0.252 0.000 0.747
Te2 0.253 0.500 0.254
Te3 0.747 0.500 0.746
Te4 0.748 0.000 0.253
```

Peak list (8 most intense, 5 to 70 degrees two-theta, by angle)
2θ/deg, I_rel
28.97, 100
41.10, 39
41.78, 37
51.06, 20
52.21, 6
59.99, 8
67.51, 12
68.46, 11



No. 2
For Tb2Tl3Ag, a cell relaxed with GGA-PBE gives the computed PXRD pattern in this record (copper Kα).
Kinematic intensities with the Lorentz-polarization factor, no thermal factor.

Cell and atoms:
```
data_Tb2Tl3Ag
_symmetry_space_group_name_H-M 'P 1'
_symmetry_Int_Tables_number 1
_cell_length_a 10.056
_cell_length_b 9.395
_cell_length_c 6.149
_cell_angle_alpha 77.52
_cell_angle_beta 65.82
_cell_angle_gamma 36.66
loop_
_symmetry_equiv_pos_as_xyz
'x,y,z'
loop_
_atom_site_label
_atom_site_fract_x
_atom_site_fract_y
_atom_site_fract_z
Tb1 0.249 0.751 0.751
Tb2 0.250 0.250 0.250
Tb3 0.750 0.750 0.750
Tb4 0.751 0.249 0.249
Tl1 0.155 0.672 0.328
Tl2 0.328 0.845 0.155
Tl3 0.329 0.329 0.671
Tl4 0.671 0.671 0.329
Tl5 0.672 0.155 0.845
Tl6 0.845 0.328 0.672
Ag1 0.168 0.168 0.832
Ag2 0.832 0.832 0.168
```

Peak list (8 most intense, 5 to 70 degrees two-theta, by angle)
2θ/deg, I_rel
25.21, 11
32.64, 100
35.70, 91
44.21, 15
49.14, 32
62.21, 31
64.14, 16
64.46, 33



No. 3
For Tb4TlAg2, a cell relaxed with GGA-PBE gives the computed PXRD pattern in this record (copper Kα).
Kinematic intensities with the Lorentz-polarization factor, no thermal factor.

Cell and atoms:
```
data_Tb4TlAg2
_symmetry_space_group_name_H-M 'P 1'
_symmetry_Int_Tables_number 1
_cell_length_a 8.776
_cell_length_b 8.776
_cell_length_c 8.776
_cell_angle_alpha 34.40
_cell_angle_beta 34.40
_cell_angle_gamma 34.40
loop_
_symmetry_equiv_pos_as_xyz
'x,y,z'
loop_
_atom_site_label
_atom_site_fract_x
_atom_site_fract_y
_atom_site_fract_z
Tb1 0.115 0.115 0.115
Tb2 0.369 0.369 0.369
Tb3 0.631 0.631 0.631
Tb4 0.885 0.885 0.885
Tl1 0.500 0.500 0.500
Ag1 0.246 0.246 0.246
Ag2 0.754 0.754 0.754
```

Peak list (8 most intense, 5 to 70 degrees two-theta, by angle)
2θ/deg, I_rel
26.79, 13
32.21, 18
34.56, 100
35.22, 85
50.18, 31
61.94, 18
62.36, 32
67.25, 11



No. 4
For Tb3TlAg4, a cell relaxed with GGA-PBE gives the computed PXRD pattern in this record (copper Kα).
Kinematic intensities with the Lorentz-polarization factor, no thermal factor.

Cell and atoms:
```
data_Tb3TlAg4
_symmetry_space_group_name_H-M 'P 1'
_symmetry_Int_Tables_number 1
_cell_length_a 7.969
_cell_length_b 7.969
_cell_length_c 7.969
_cell_angle_alpha 155.20
_cell_angle_beta 107.19
_cell_angle_gamma 78.27
loop_
_symmetry_equiv_pos_as_xyz
'x,y,z'
loop_
_atom_site_label
_atom_site_fract_x
_atom_site_fract_y
_atom_site_fract_z
Tb1 0.000 0.000 0.000
Tb2 0.284 0.784 0.500
Tb3 0.716 0.216 0.500
Tl1 0.500 0.500 0.000
Ag1 0.107 0.373 0.733
Ag2 0.360 0.627 0.733
Ag3 0.640 0.373 0.267
Ag4 0.893 0.627 0.267
```

Peak list (8 most intense, 5 to 70 degrees two-theta, by angle)
2θ/deg, I_rel
31.34, 100
33.11, 23
34.67, 93
38.05, 42
39.16, 40
41.59, 46
57.63, 18
65.38, 29



No. 5
For Tb2TmAg3, a cell relaxed with GGA-PBE gives the computed PXRD pattern in this record (copper Kα).
Kinematic intensities with the Lorentz-polarization factor, no thermal factor.

Cell and atoms:
```
data_Tb2TmAg3
_symmetry_space_group_name_H-M 'P 1'
_symmetry_Int_Tables_number 1
_cell_length_a 3.612
_cell_length_b 3.612
_cell_length_c 10.994
_cell_angle_alpha 90.00
_cell_angle_beta 90.00
_cell_angle_gamma 90.00
loop_
_symmetry_equiv_pos_as_xyz
'x,y,z'
loop_
_atom_site_label
_atom_site_fract_x
_atom_site_fract_y
_atom_site_fract_z
Tb1 0.000 0.000 0.169
Tb2 0.000 0.000 0.831
Tm1 0.000 0.000 0.500
Ag1 0.500 0.500 0.000
Ag2 0.500 0.500 0.340
Ag3 0.500 0.500 0.660
```

Peak list (8 most intense, 5 to 70 degrees two-theta, by angle)
2θ/deg, I_rel
24.29, 2
24.65, 4
34.88, 100
35.14, 49
49.76, 9
50.54, 17
62.37, 18
62.88, 35



No. 6
For Tb2Tm3Ag2, a cell relaxed with GGA-PBE gives the computed PXRD pattern in this record (copper Kα).
Kinematic intensities with the Lorentz-polarization factor, no thermal factor.

Cell and atoms:
```
data_Tb2Tm3Ag2
_symmetry_space_group_name_H-M 'P 1'
_symmetry_Int_Tables_number 1
_cell_length_a 14.928
_cell_length_b 14.928
_cell_length_c 14.928
_cell_angle_alpha 166.28
_cell_angle_beta 166.28
_cell_angle_gamma 19.45
loop_
_symmetry_equiv_pos_as_xyz
'x,y,z'
loop_
_atom_site_label
_atom_site_fract_x
_atom_site_fract_y
_atom_site_fract_z
Tb1 0.208 0.208 0.000
Tb2 0.792 0.792 0.000
Tm1 0.377 0.377 0.000
Tm2 0.500 0.500 0.000
Tm3 0.623 0.623 0.000
Ag1 0.062 0.062 0.000
Ag2 0.938 0.938 0.000
```

Peak list (8 most intense, 5 to 70 degrees two-theta, by angle)
2θ/deg, I_rel
29.28, 16
32.94, 100
35.60, 56
37.31, 17
51.24, 20
52.02, 9
59.35, 7
62.27, 32



No. 7
For Tb3Tm2Ag2, a cell relaxed with GGA-PBE gives the computed PXRD pattern in this record (copper Kα).
Kinematic intensities with the Lorentz-polarization factor, no thermal factor.

Cell and atoms:
```
data_Tb3Tm2Ag2
_symmetry_space_group_name_H-M 'P 1'
_symmetry_Int_Tables_number 1
_cell_length_a 15.000
_cell_length_b 15.000
_cell_length_c 15.000
_cell_angle_alpha 166.26
_cell_angle_beta 166.26
_cell_angle_gamma 19.48
loop_
_symmetry_equiv_pos_as_xyz
'x,y,z'
loop_
_atom_site_label
_atom_site_fract_x
_atom_site_fract_y
_atom_site_fract_z
Tb1 0.000 0.000 0.000
Tb2 0.126 0.126 0.000
Tb3 0.874 0.874 0.000
Tm1 0.290 0.290 0.000
Tm2 0.710 0.710 0.000
Ag1 0.437 0.437 0.000
Ag2 0.563 0.563 0.000
```

Peak list (8 most intense, 5 to 70 degrees two-theta, by angle)
2θ/deg, I_rel
29.11, 13
32.75, 100
35.38, 50
37.10, 8
50.90, 18
51.72, 7
56.71, 11
61.85, 32



No. 8
For Tb3Tm2Ag2, a cell relaxed with GGA-PBE gives the computed PXRD pattern in this record (copper Kα).
Kinematic intensities with the Lorentz-polarization factor, no thermal factor.

Cell and atoms:
```
data_Tb3Tm2Ag2
_symmetry_space_group_name_H-M 'P 1'
_symmetry_Int_Tables_number 1
_cell_length_a 8.274
_cell_length_b 8.274
_cell_length_c 8.274
_cell_angle_alpha 37.47
_cell_angle_beta 37.47
_cell_angle_gamma 37.47
loop_
_symmetry_equiv_pos_as_xyz
'x,y,z'
loop_
_atom_site_label
_atom_site_fract_x
_atom_site_fract_y
_atom_site_fract_z
Tb1 0.000 0.000 0.000
Tb2 0.162 0.162 0.162
Tb3 0.838 0.838 0.838
Tm1 0.425 0.425 0.425
Tm2 0.575 0.575 0.575
Ag1 0.289 0.289 0.289
Ag2 0.711 0.711 0.711
```

Peak list (8 most intense, 5 to 70 degrees two-theta, by angle)
2θ/deg, I_rel
27.38, 14
33.46, 82
33.73, 100
48.25, 29
59.37, 10
59.64, 8
60.16, 31
60.33, 19



No. 9
For Tb6TmAg, a cell relaxed with GGA-PBE gives the computed PXRD pattern in this record (copper Kα).
Kinematic intensities with the Lorentz-polarization factor, no thermal factor.

Cell and atoms:
```
data_Tb6TmAg
_symmetry_space_group_name_H-M 'P 1'
_symmetry_Int_Tables_number 1
_cell_length_a 6.274
_cell_length_b 6.274
_cell_length_c 6.274
_cell_angle_alpha 95.40
_cell_angle_beta 95.40
_cell_angle_gamma 95.40
loop_
_symmetry_equiv_pos_as_xyz
'x,y,z'
loop_
_atom_site_label
_atom_site_fract_x
_atom_site_fract_y
_atom_site_fract_z
Tb1 0.044 0.568 0.761
Tb2 0.239 0.956 0.432
Tb3 0.432 0.239 0.956
Tb4 0.568 0.761 0.044
Tb5 0.761 0.044 0.568
Tb6 0.956 0.432 0.239
Tm1 0.500 0.500 0.500
Ag1 0.000 0.000 0.000
```

Peak list (8 most intense, 5 to 70 degrees two-theta, by angle)
2θ/deg, I_rel
27.32, 24
28.74, 25
30.82, 100
33.57, 29
34.75, 87
38.44, 15
47.73, 21
52.15, 28



No. 10
For TbY5Ag6, a cell relaxed with GGA-PBE gives the computed PXRD pattern in this record (copper Kα).
Kinematic intensities with the Lorentz-polarization factor, no thermal factor.

Cell and atoms:
```
data_TbY5Ag6
_symmetry_space_group_name_H-M 'P 1'
_symmetry_Int_Tables_number 1
_cell_length_a 8.187
_cell_length_b 8.187
_cell_length_c 7.239
_cell_angle_alpha 90.00
_cell_angle_beta 90.00
_cell_angle_gamma 143.13
loop_
_symmetry_equiv_pos_as_xyz
'x,y,z'
loop_
_atom_site_label
_atom_site_fract_x
_atom_site_fract_y
_atom_site_fract_z
Tb1 0.000 0.000 0.000
Y1 0.000 0.000 0.500
Y2 0.333 0.667 0.000
Y3 0.333 0.667 0.500
Y4 0.667 0.333 0.000
Y5 0.667 0.333 0.500
Ag1 0.167 0.833 0.250
Ag2 0.167 0.833 0.750
Ag3 0.500 0.500 0.249
Ag4 0.500 0.500 0.751
Ag5 0.833 0.167 0.250
Ag6 0.833 0.167 0.750
```

Peak list (8 most intense, 5 to 70 degrees two-theta, by angle)
2θ/deg, I_rel
11.39, 1
21.87, 1
34.65, 51
34.86, 100
49.81, 18
50.42, 8
62.23, 35
62.63, 17



No. 11
For Tb4ZnAg3, a cell relaxed with GGA-PBE gives the computed PXRD pattern in this record (copper Kα).
Kinematic intensities with the Lorentz-polarization factor, no thermal factor.

Cell and atoms:
```
data_Tb4ZnAg3
_symmetry_space_group_name_H-M 'P 1'
_symmetry_Int_Tables_number 1
_cell_length_a 3.618
_cell_length_b 3.618
_cell_length_c 14.643
_cell_angle_alpha 90.00
_cell_angle_beta 90.00
_cell_angle_gamma 90.00
loop_
_symmetry_equiv_pos_as_xyz
'x,y,z'
loop_
_atom_site_label
_atom_site_fract_x
_atom_site_fract_y
_atom_site_fract_z
Tb1 0.000 0.000 0.120
Tb2 0.000 0.000 0.373
Tb3 0.000 0.000 0.627
Tb4 0.000 0.000 0.880
Zn1 0.500 0.500 0.000
Ag1 0.500 0.500 0.246
Ag2 0.500 0.500 0.500
Ag3 0.500 0.500 0.754
```

Peak list (8 most intense, 5 to 70 degrees two-theta, by angle)
2θ/deg, I_rel
24.31, 3
24.61, 5
34.87, 100
35.08, 50
49.82, 9
50.45, 17
62.38, 18
62.80, 35



No. 12
For Tb2Zn4Ag5, a cell relaxed with GGA-PBE gives the computed PXRD pattern in this record (copper Kα).
Kinematic intensities with the Lorentz-polarization factor, no thermal factor.

Cell and atoms:
```
data_Tb2Zn4Ag5
_symmetry_space_group_name_H-M 'P 1'
_symmetry_Int_Tables_number 1
_cell_length_a 6.806
_cell_length_b 6.806
_cell_length_c 6.806
_cell_angle_alpha 132.15
_cell_angle_beta 102.75
_cell_angle_gamma 96.22
loop_
_symmetry_equiv_pos_as_xyz
'x,y,z'
loop_
_atom_site_label
_atom_site_fract_x
_atom_site_fract_y
_atom_site_fract_z
Tb1 0.208 0.208 0.000
Tb2 0.792 0.792 0.000
Zn1 0.082 0.743 0.339
Zn2 0.405 0.743 0.661
Zn3 0.595 0.257 0.339
Zn4 0.918 0.257 0.661
Ag1 0.000 0.500 0.500
Ag2 0.318 0.252 0.570
Ag3 0.318 0.748 0.066
Ag4 0.682 0.252 0.934
Ag5 0.682 0.748 0.430
```

Peak list (8 most intense, 5 to 70 degrees two-theta, by angle)
2θ/deg, I_rel
27.50, 32
28.77, 29
33.13, 70
35.61, 80
38.15, 100
38.91, 42
39.67, 56
40.95, 93



No. 13
For Tb4Zn3Ag, a cell relaxed with GGA-PBE gives the computed PXRD pattern in this record (copper Kα).
Kinematic intensities with the Lorentz-polarization factor, no thermal factor.

Cell and atoms:
```
data_Tb4Zn3Ag
_symmetry_space_group_name_H-M 'P 1'
_symmetry_Int_Tables_number 1
_cell_length_a 3.629
_cell_length_b 4.584
_cell_length_c 11.472
_cell_angle_alpha 90.00
_cell_angle_beta 90.00
_cell_angle_gamma 90.00
loop_
_symmetry_equiv_pos_as_xyz
'x,y,z'
loop_
_atom_site_label
_atom_site_fract_x
_atom_site_fract_y
_atom_site_fract_z
Tb1 0.000 0.000 0.000
Tb2 0.000 0.500 0.300
Tb3 0.500 0.000 0.494
Tb4 0.500 0.500 0.801
Zn1 0.000 0.500 0.574
Zn2 0.500 0.000 0.218
Zn3 0.500 0.500 0.078
Ag1 0.000 0.000 0.719
```

Peak list (8 most intense, 5 to 70 degrees two-theta, by angle)
2θ/deg, I_rel
24.86, 26
31.19, 21
32.42, 100
34.06, 47
36.97, 41
39.31, 32
39.47, 33
52.97, 27



No. 14
For Tb3Zn3Ag, a cell relaxed with GGA-PBE gives the computed PXRD pattern in this record (copper Kα).
Kinematic intensities with the Lorentz-polarization factor, no thermal factor.

Cell and atoms:
```
data_Tb3Zn3Ag
_symmetry_space_group_name_H-M 'P 1'
_symmetry_Int_Tables_number 1
_cell_length_a 10.239
_cell_length_b 10.239
_cell_length_c 10.239
_cell_angle_alpha 159.95
_cell_angle_beta 154.50
_cell_angle_gamma 32.65
loop_
_symmetry_equiv_pos_as_xyz
'x,y,z'
loop_
_atom_site_label
_atom_site_fract_x
_atom_site_fract_y
_atom_site_fract_z
Tb1 0.000 0.000 0.000
Tb2 0.390 0.390 0.000
Tb3 0.692 0.192 0.500
Zn1 0.125 0.625 0.500
Zn2 0.554 0.554 0.000
Zn3 0.837 0.837 0.000
Ag1 0.259 0.759 0.500
```

Peak list (8 most intense, 5 to 70 degrees two-theta, by angle)
2θ/deg, I_rel
23.92, 23
33.28, 100
33.95, 56
37.72, 55
39.89, 32
51.26, 15
53.36, 31
65.37, 21